(1)
Starting from the GGA-PBE geometry in the Materials Project, the X-ray diffraction stick pattern of AlS2NCl6 was simulated for Cu Kα X-rays.
Lines closer than 0.1° are merged.

Atomic structure:
```
data_AlS2NCl6
_cell_length_a 6.4115
_cell_length_b 13.7969
_cell_length_c 13.3884
_cell_angle_alpha 90.00
_cell_angle_beta 95.49
_cell_angle_gamma 90.00
_space_group_name_H-M_alt 'P 1 21/m 1'
_space_group_IT_number 11
loop_
_space_group_symop_operation_xyz
'x,y,z'
'-x,-y,-z'
'-x,y+1/2,-z'
'x,-y+1/2,z'
loop_
_atom_site_label
_atom_site_type_symbol
_atom_site_fract_x
_atom_site_fract_y
_atom_site_fract_z
Al1 Al 0.0064 0.2500 0.0336
Al2 Al 0.1552 0.2500 0.5159
S1 S 0.2554 0.0203 0.8426
S2 S 0.3673 0.5931 0.6641
N1 N 0.2694 0.5512 0.7555
Cl1 Cl 0.0240 0.2500 0.3597
Cl2 Cl 0.0289 0.7500 0.1294
Cl3 Cl 0.0538 0.1211 0.5879
Cl4 Cl 0.1702 0.1192 0.0848
Cl5 Cl 0.3000 0.7500 0.9144
Cl6 Cl 0.3751 0.0163 0.3637
Cl7 Cl 0.4933 0.2500 0.5190
Cl8 Cl 0.4988 0.1141 0.8521
```

Principal peaks in the range 2θ from 10° to 90°, sorted by position:
2theta, d (Å), Rel. int., (hkl)
18.51, 4.793, 81, 0 2 2
18.94, 4.685, 57, 1 2 0
21.18, 4.195, 28, 1 1 2
24.41, 3.646, 27, 1 3 -1
26.74, 3.334, 91, 0 0 4
27.54, 3.239, 60, 0 1 4
28.06, 3.180, 100, 1 3 2
28.68, 3.113, 46, 1 2 3
31.84, 2.810, 92, 1 4 -2
50.31, 1.814, 34, 3 4 -1

=====

(2)
Starting from the GGA-PBE geometry in the Materials Project, the X-ray diffraction stick pattern of AlS2N2Cl4 was simulated for Cu Kα X-rays.
Lines closer than 0.1° are merged.

Atomic structure:
```
data_AlS2N2Cl4
_cell_length_a 7.0323
_cell_length_b 16.6889
_cell_length_c 8.1493
_cell_angle_alpha 90.00
_cell_angle_beta 104.26
_cell_angle_gamma 90.00
_space_group_name_H-M_alt 'P 1 21/c 1'
_space_group_IT_number 14
loop_
_space_group_symop_operation_xyz
'x,y,z'
'-x,-y,-z'
'-x,y+1/2,-z+1/2'
'x,-y+1/2,z+1/2'
loop_
_atom_site_label
_atom_site_type_symbol
_atom_site_fract_x
_atom_site_fract_y
_atom_site_fract_z
Al1 Al 0.1006 0.1500 0.1450
S1 S 0.3539 0.6021 0.0780
S2 S 0.4700 0.5539 0.7572
N1 N 0.3881 0.5981 0.8948
N2 N 0.4261 0.5290 0.1980
Cl1 Cl 0.1067 0.0788 0.3717
Cl2 Cl 0.1745 0.0730 0.9565
Cl3 Cl 0.1893 0.6979 0.4446
Cl4 Cl 0.3288 0.2382 0.2213
```

Principal peaks in the range 2θ from 10° to 90°, sorted by position:
2theta, d (Å), Rel. int., (hkl)
15.45, 5.736, 27, 0 2 1
15.85, 5.591, 34, 1 1 -1
21.96, 4.048, 57, 1 2 1
23.70, 3.755, 23, 1 1 -2
27.70, 3.220, 32, 0 3 2
28.17, 3.168, 27, 1 3 -2
28.80, 3.099, 40, 1 4 1
30.12, 2.967, 31, 2 0 -2
30.77, 2.906, 100, 2 3 0
44.49, 2.037, 20, 1 0 -4

=====

(3)
Starting from the GGA-PBE geometry in the Materials Project, the X-ray diffraction stick pattern of AlSNCl3 was simulated for Cu Kα X-rays.
Lines closer than 0.1° are merged.

Atomic structure:
```
data_AlSNCl3
_cell_length_a 7.3983
_cell_length_b 10.0267
_cell_length_c 9.5748
_cell_angle_alpha 90.00
_cell_angle_beta 115.19
_cell_angle_gamma 90.00
_space_group_name_H-M_alt 'P 1 21/c 1'
_space_group_IT_number 14
loop_
_space_group_symop_operation_xyz
'x,y,z'
'-x,-y,-z'
'-x,y+1/2,-z+1/2'
'x,-y+1/2,z+1/2'
loop_
_atom_site_label
_atom_site_type_symbol
_atom_site_fract_x
_atom_site_fract_y
_atom_site_fract_z
Al1 Al 0.2316 0.1301 0.3359
S1 S 0.1469 0.5335 0.1174
N1 N 0.0999 0.0440 0.4518
Cl1 Cl 0.0440 0.6709 0.3621
Cl2 Cl 0.3821 0.1951 0.9483
Cl3 Cl 0.4053 0.5205 0.7914
```

Principal peaks in the range 2θ from 10° to 90°, sorted by position:
2theta, d (Å), Rel. int., (hkl)
13.51, 6.556, 87, 0 1 1
15.92, 5.568, 40, 1 1 0
20.47, 4.339, 48, 0 2 1
21.88, 4.063, 67, 1 2 -1
26.14, 3.409, 100, 1 2 -2
27.31, 3.266, 65, 2 1 -2
28.63, 3.118, 71, 0 3 1
29.37, 3.041, 51, 1 1 -3
33.76, 2.655, 31, 2 1 1
36.24, 2.479, 33, 2 3 -1